Diffraction record for Ca2FeClO3. The powder XRD pattern is calculated, not measured: it uses a cell relaxed with PBE+U and a wavelength of 1.5418 Å.

Principal peaks in the range 2θ = 10–90°, low angle first:
(0 0 2), 2θ 12.78, I 524; (1 1 0), 2θ 32.56, I 888; (1 0 4), 2θ 34.68, I 1000; (1 0 5), 2θ 39.95, I 206; (1 1 4), 2θ 41.95, I 164; (1 0 6), 2θ 45.70, I 130; (2 0 0), 2θ 46.71, I 572; (2 1 4), 2θ 59.46, I 373; (2 2 0), 2θ 68.19, I 156; (3 1 0), 2θ 77.62, I 120

Structure:
```
data_Ca2FeClO3
_cell_length_a 3.8897
_cell_length_b 3.8897
_cell_length_c 13.8527
_cell_angle_alpha 90.00
_cell_angle_beta 90.00
_cell_angle_gamma 90.00
_symmetry_space_group_name_H-M 'P 4/n m m'
_symmetry_Int_Tables_number 129
loop_
_symmetry_equiv_pos_as_xyz
'x,y,z'
'-x,-y,-z'
'-y+1/2,x,z'
'y+1/2,-x,-z'
'-x+1/2,-y+1/2,z'
'x+1/2,y+1/2,-z'
'y,-x+1/2,z'
'-y,x+1/2,-z'
'x+1/2,-y,-z'
'-x+1/2,y,z'
'-y,-x,-z'
'y,x,z'
'-x,y+1/2,-z'
'x,-y+1/2,z'
'y+1/2,x+1/2,-z'
'-y+1/2,-x+1/2,z'
loop_
_atom_site_label
_atom_site_type_symbol
_atom_site_fract_x
_atom_site_fract_y
_atom_site_fract_z
_atom_site_occupancy
Ca1 Ca 0.2500 0.2500 0.0930 1
Ca2 Ca 0.2500 0.2500 0.3368 1
Fe1 Fe 0.2500 0.2500 0.7940 1
Cl1 Cl 0.2500 0.2500 0.5800 1
O1 O 0.2500 0.2500 0.9321 1
O2 O 0.2500 0.7500 0.2301 1
```